For Tb5Sn18Rh6, a structure optimized by DFT (PBE) gives the theoretical powder X-ray diffraction pattern in this record (Cu Kα (λ = 1.5418 Å)).
No peak broadening, texture or thermal motion is included.

```
29
Lattice="0.000 7.013 7.013 7.013 0.000 7.013 7.013 7.013 0.000" Properties=species:S:1:pos:R:3 pbc="T T T"
Tb 0.000 0.000 0.000
Tb 8.840 5.186 5.186
Tb 5.186 8.840 5.186
Tb 5.186 5.186 8.840
Tb 8.840 8.840 8.840
Sn 2.452 2.452 0.116
Sn 4.561 4.561 0.116
Sn 2.452 0.116 2.452
Sn 6.897 4.561 2.452
Sn 4.561 0.116 4.561
Sn 6.897 2.452 4.561
Sn 3.506 3.506 3.506
Sn 0.116 2.452 2.452
Sn 4.561 6.897 2.452
Sn 4.561 2.452 6.897
Sn 5.778 5.778 5.778
Sn 8.248 8.248 5.778
Sn 8.248 5.778 8.248
Sn 0.116 4.561 4.561
Sn 2.452 6.897 4.561
Sn 2.452 4.561 6.897
Sn 10.519 10.519 10.519
Sn 5.778 8.248 8.248
Rh 7.013 7.013 3.557
Rh 7.013 3.557 7.013
Rh 10.469 7.013 7.013
Rh 3.557 7.013 7.013
Rh 7.013 10.469 7.013
Rh 7.013 7.013 10.469
```

Most intense lines, 10° ≤ 2θ ≤ 90°, sorted by position:
d (Å), 2θ (°), intensity
2.863, 31.24, 18
2.699, 33.19, 100
2.479, 36.23, 40
2.371, 37.95, 17
2.338, 38.51, 17
2.114, 42.76, 33
1.653, 55.60, 30
1.432, 65.17, 21
1.410, 66.31, 15
1.185, 81.13, 11